For Li2FeSiO5, a crystal structure in the Materials Project, relaxed with PBE+U gives the computed powder diffraction line list in this record (Cu Kα X-rays).
Intensities are scaled so that the largest is 100.

Largest 6 diffraction maxima, low angle first, 10 to 90 degrees two-theta:
| 2theta | I (rel.) |
| --- | --- |
| 19.7 | 100 |
| 24.2 | 48 |
| 27.4 | 77 |
| 28.0 | 72 |
| 33.9 | 68 |
| 34.5 | 47 |

```
data_Li2FeSiO5
_chemical_formula_sum 'Li4 Fe2 Si2 O10'
_cell_length_a 6.3638
_cell_length_b 6.5175
_cell_length_c 4.5104
_cell_angle_alpha 90.00
_cell_angle_beta 90.00
_cell_angle_gamma 90.00
_symmetry_space_group_name_H-M 'P m m n'
_symmetry_Int_Tables_number 59
loop_
_symmetry_equiv_pos_as_xyz
'x,y,z'
'-x,-y,-z'
'-x+1/2,-y+1/2,z'
'x+1/2,y+1/2,-z'
'x+1/2,-y,-z'
'-x+1/2,y,z'
'-x,y+1/2,-z'
'x,-y+1/2,z'
loop_
_atom_site_label
_atom_site_fract_x
_atom_site_fract_y
_atom_site_fract_z
Li1 0.0000 0.0000 0.0000
Fe1 0.2500 0.2500 0.3987
Si1 0.2500 0.7500 0.4752
O1 0.0455 0.7500 0.7016
O2 0.2500 0.2500 0.7859
O3 0.2500 0.5463 0.2639
```



For Fe2O3, a crystal structure in the Materials Project, relaxed with PBE+U gives the computed powder diffraction line list in this record (Cu Kα X-rays).
Intensities are scaled so that the largest is 100.

Largest 6 diffraction maxima, low angle first, 10 to 90 degrees two-theta:
| 2theta | I (rel.) |
| --- | --- |
| 11.1 | 100 |
| 18.8 | 39 |
| 31.5 | 39 |
| 33.5 | 88 |
| 40.9 | 46 |
| 42.1 | 43 |

```
data_Fe2O3
_chemical_formula_sum 'Fe16 O24'
_cell_length_a 3.0194
_cell_length_b 9.9093
_cell_length_c 15.9171
_cell_angle_alpha 90.00
_cell_angle_beta 90.00
_cell_angle_gamma 90.00
_symmetry_space_group_name_H-M 'C m c m'
_symmetry_Int_Tables_number 63
_symmetry_space_group_name_Hall '-C 2c 2'
loop_
_atom_site_label
_atom_site_fract_x
_atom_site_fract_y
_atom_site_fract_z
Fe1 0.0000 0.0962 0.1473
Fe2 0.0000 0.3653 0.0474
O1 0.0000 0.0000 0.0000
O2 0.0000 0.1794 0.2500
O3 0.0000 0.2719 0.5725
O4 0.0000 0.4713 0.1475
```



For La3MoO7, a crystal structure in the Materials Project, relaxed with PBE+U gives the computed powder diffraction line list in this record (Cu Kα X-rays).
Intensities are scaled so that the largest is 100.

Largest 6 diffraction maxima, low angle first, 10 to 90 degrees two-theta:
| 2theta | I (rel.) |
| --- | --- |
| 27.9 | 100 |
| 28.1 | 85 |
| 32.2 | 20 |
| 32.6 | 40 |
| 46.5 | 63 |
| 55.2 | 25 |

```
data_La3MoO7
_chemical_formula_sum 'La12 Mo4 O28'
_cell_length_a 7.7252
_cell_length_b 7.8091
_cell_length_c 11.1245
_cell_angle_alpha 90.00
_cell_angle_beta 90.00
_cell_angle_gamma 90.00
_symmetry_space_group_name_H-M 'P 21 21 21'
_symmetry_Int_Tables_number 19
loop_
_symmetry_equiv_pos_as_xyz
'x,y,z'
'-x+1/2,-y,z+1/2'
'x+1/2,-y+1/2,-z'
'-x,y+1/2,-z+1/2'
loop_
_atom_site_label
_atom_site_fract_x
_atom_site_fract_y
_atom_site_fract_z
La1 0.0284 0.0082 0.2462
La2 0.1972 0.2532 0.5187
La3 0.2064 0.2468 0.9673
Mo1 0.0011 0.5001 0.7494
O1 0.0090 0.7601 0.3810
O2 0.0357 0.7475 0.1172
O3 0.0784 0.2539 0.7430
O4 0.1332 0.5482 0.6092
O5 0.1763 0.9653 0.6259
O6 0.1935 0.5306 0.8699
O7 0.2121 0.9659 0.8702
```



For LiCoPO4, a crystal structure in the Materials Project, relaxed with PBE+U gives the computed powder diffraction line list in this record (Cu Kα X-rays).
Intensities are scaled so that the largest is 100.

Largest 6 diffraction maxima, low angle first, 10 to 90 degrees two-theta:
| 2theta | I (rel.) |
| --- | --- |
| 18.2 | 77 |
| 20.1 | 99 |
| 28.9 | 81 |
| 32.9 | 100 |
| 34.3 | 60 |
| 44.4 | 45 |

```
data_LiCoPO4
_chemical_formula_sum 'Li4 Co4 P4 O16'
_cell_length_a 4.9615
_cell_length_b 6.1811
_cell_length_c 9.7570
_cell_angle_alpha 90.08
_cell_angle_beta 90.05
_cell_angle_gamma 90.02
_symmetry_space_group_name_H-M 'P 1'
_symmetry_Int_Tables_number 1
loop_
_symmetry_equiv_pos_as_xyz
'x,y,z'
loop_
_atom_site_label
_atom_site_fract_x
_atom_site_fract_y
_atom_site_fract_z
Li1 0.0000 0.0000 0.0000
Li2 0.0001 0.4988 0.0004
Li3 0.5004 0.9995 0.5003
Li4 0.5008 0.4996 0.5001
Co1 0.0316 0.7499 0.3377
Co2 0.4696 0.7497 0.8374
Co3 0.5312 0.2481 0.1627
Co4 0.9700 0.2495 0.6635
P1 0.0419 0.2502 0.3227
P2 0.4594 0.2497 0.8232
P3 0.5419 0.7488 0.1778
P4 0.9589 0.7495 0.6775
O1 0.1196 0.2501 0.1662
O2 0.1669 0.0469 0.3915
O3 0.1671 0.4534 0.3918
O4 0.2308 0.7495 0.1576
O5 0.2700 0.7495 0.6571
O6 0.3342 0.4530 0.8918
O7 0.3347 0.0467 0.8923
O8 0.3819 0.2490 0.6666
O9 0.6202 0.7496 0.3342
O10 0.6661 0.5453 0.1089
O11 0.6672 0.9517 0.1087
O12 0.7310 0.2503 0.3428
O13 0.7706 0.2498 0.8438
O14 0.8341 0.5460 0.6086
O15 0.8343 0.9527 0.6084
O16 0.8814 0.7499 0.8340
```